Structure and theoretical XRD peak list of Pm4Ho6Th (a crystal structure in Alexandria, relaxed with PBE; Cu Kα X-rays).
Intensities are scaled so that the largest is 100.

Top 10 peaks for 2θ = 5–70°, in order of rising 2θ:
d = 2.956 Å, 30.2°, rel. 73, (1 1 7)
d = 2.928 Å, 30.5°, rel. 51, (0 2 7)
d = 2.885 Å, 31.0°, rel. 67, (2 0 0)
d = 2.808 Å, 31.9°, rel. 100, (1 3 0)
d = 2.792 Å, 32.1°, rel. 24, (1 3 1)
d = 2.702 Å, 33.2°, rel. 42, (1 1 8)
d = 2.055 Å, 44.1°, rel. 38, (2 2 7)
d = 1.650 Å, 55.7°, rel. 21, (3 3 0)
d = 1.639 Å, 56.1°, rel. 17, (1 5 7)
d = 1.604 Å, 57.4°, rel. 20, (0 6 1)

Structure:
Cell lengths 5.7699, 9.6436, 25.7983 Å; angles 90.00, 90.00, 90.00 degrees
Space group Cmcm (No. 63)
Inequivalent atoms, fractional coordinates:
Pm 0.0000 0.0322 0.1229 [8 per cell]
Pm 0.0000 0.3436 0.0432 [8 per cell]
Ho 0.0000 0.0000 0.0000 [4 per cell]
Ho 0.0000 0.0295 0.2500 [4 per cell]
Ho 0.0000 0.3102 0.6027 [8 per cell]
Ho 0.0000 0.3618 0.1837 [8 per cell]
Th 0.0000 0.3069 0.7500 [4 per cell]